Record 1
Computed XRD peak list of RbCuPO4 for Cu Kα, from a DFT-relaxed cell (PBE, the Materials Project).

Atomic structure:
```
data_RbCuPO4
_cell_length_a 9.3815
_cell_length_b 9.0637
_cell_length_c 5.3132
_cell_angle_alpha 90.00
_cell_angle_beta 90.00
_cell_angle_gamma 90.00
_symmetry_space_group_name_H-M 'P n a 21'
_symmetry_Int_Tables_number 33
loop_
_symmetry_equiv_pos_as_xyz
'x,y,z'
'-x,-y,z+1/2'
'-x+1/2,y+1/2,z+1/2'
'x+1/2,-y+1/2,z'
loop_
_atom_site_label
_atom_site_fract_x
_atom_site_fract_y
_atom_site_fract_z
Rb1 0.0123 0.1951 0.0000
Cu1 0.1682 0.5855 0.0196
P1 0.1912 0.4086 0.5090
O1 0.0330 0.3630 0.4831
O2 0.2109 0.5527 0.6628
O3 0.2306 0.7821 0.1441
O4 0.2432 0.9386 0.7440
```

Top 10 peaks for 15° ≤ 2θ ≤ 90°, by angle:
| 2theta | I (rel.) |
| --- | --- |
| 27.20 | 97.4 |
| 27.36 | 45.5 |
| 27.56 | 100.0 |
| 30.23 | 39.2 |
| 33.74 | 38.7 |
| 34.14 | 44.9 |
| 43.34 | 14.2 |
| 43.97 | 14.7 |
| 45.93 | 20.3 |
| 52.78 | 34.8 |

Record 2
Computed XRD peak list of KZrGeBiO6 for Cu Kα, from a DFT-relaxed cell (PBE, the Materials Project).

Atomic structure:
```
data_KZrGeBiO6
_cell_length_a 7.9925
_cell_length_b 7.9925
_cell_length_c 7.9925
_cell_angle_alpha 90.00
_cell_angle_beta 90.00
_cell_angle_gamma 90.00
_symmetry_space_group_name_H-M 'F -4 3 m'
_symmetry_Int_Tables_number 216
_symmetry_space_group_name_Hall 'F -4 2 3'
loop_
_atom_site_label
_atom_site_fract_x
_atom_site_fract_y
_atom_site_fract_z
K1 0.0000 0.0000 0.0000
Zr1 0.2500 0.2500 0.7500
Ge1 0.2500 0.2500 0.2500
Bi1 0.0000 0.0000 0.5000
O1 0.0116 0.2500 0.2500
```

Top 10 peaks for 15° ≤ 2θ ≤ 90°, by angle:
| 2theta | I (rel.) |
| --- | --- |
| 19.23 | 40.0 |
| 31.66 | 100.0 |
| 37.31 | 24.9 |
| 45.39 | 32.1 |
| 49.72 | 11.7 |
| 56.40 | 39.4 |
| 60.16 | 9.0 |
| 66.14 | 19.4 |
| 69.59 | 8.9 |
| 75.18 | 17.5 |

Record 3
Computed XRD peak list of K5Tl3O for Cu Kα, from a DFT-relaxed cell (PBE, the Materials Project).

Atomic structure:
```
data_K5Tl3O
_cell_length_a 8.4848
_cell_length_b 33.5913
_cell_length_c 8.9719
_cell_angle_alpha 90.00
_cell_angle_beta 90.00
_cell_angle_gamma 90.00
_symmetry_space_group_name_H-M 'C m c m'
_symmetry_Int_Tables_number 63
_symmetry_space_group_name_Hall '-C 2c 2'
loop_
_atom_site_label
_atom_site_fract_x
_atom_site_fract_y
_atom_site_fract_z
K1 0.0000 0.0501 0.0324
K2 0.0000 0.1802 0.0326
K3 0.2032 0.4932 0.2500
K4 0.2231 0.2323 0.7500
K5 0.2483 0.1270 0.7500
Tl1 0.0000 0.3153 0.5550
Tl2 0.0000 0.4240 0.5371
Tl3 0.2123 0.3741 0.7500
O1 0.0000 0.0122 0.7500
O2 0.0000 0.1754 0.7500
```

Top 10 peaks for 15° ≤ 2θ ≤ 90°, by angle:
| 2theta | I (rel.) |
| --- | --- |
| 28.20 | 20.8 |
| 28.97 | 86.7 |
| 29.15 | 100.0 |
| 29.94 | 83.8 |
| 33.99 | 18.8 |
| 37.17 | 44.4 |
| 37.69 | 16.7 |
| 38.52 | 18.0 |
| 40.05 | 17.9 |
| 52.46 | 21.0 |

Record 4
Computed XRD peak list of TeAuBr8 for Cu Kα, from a DFT-relaxed cell (PBE, the Materials Project).

Atomic structure:
```
data_TeAuBr8
_cell_length_a 8.2887
_cell_length_b 9.3351
_cell_length_c 10.8830
_cell_angle_alpha 86.91
_cell_angle_beta 70.43
_cell_angle_gamma 82.16
_symmetry_space_group_name_H-M 'P -1'
_symmetry_Int_Tables_number 2
loop_
_symmetry_equiv_pos_as_xyz
'x,y,z'
'-x,-y,-z'
loop_
_atom_site_label
_atom_site_fract_x
_atom_site_fract_y
_atom_site_fract_z
Te1 0.1233 0.2510 0.2248
Au1 0.4941 0.8920 0.1860
Br1 0.0888 0.8067 0.5552
Br2 0.1059 0.6893 0.8834
Br3 0.1478 0.5073 0.2791
Br4 0.2119 0.9305 0.1452
Br5 0.2419 0.1649 0.7557
Br6 0.4149 0.1084 0.3270
Br7 0.4160 0.3176 0.9642
Br8 0.4264 0.4079 0.5666
```

Top 10 peaks for 15° ≤ 2θ ≤ 90°, by angle:
| 2theta | I (rel.) |
| --- | --- |
| 17.30 | 46.5 |
| 19.76 | 44.6 |
| 19.87 | 34.3 |
| 25.18 | 100.0 |
| 26.07 | 57.6 |
| 26.81 | 75.9 |
| 29.88 | 31.8 |
| 30.20 | 46.4 |
| 33.79 | 34.1 |
| 35.97 | 61.1 |

Record 5
Computed XRD peak list of Ca2MgCd for Cu Kα, from a DFT-relaxed cell (PBE, the Materials Project).

Atomic structure:
```
data_Ca2MgCd
_cell_length_a 7.8023
_cell_length_b 7.8023
_cell_length_c 7.8023
_cell_angle_alpha 90.00
_cell_angle_beta 90.00
_cell_angle_gamma 90.00
_symmetry_space_group_name_H-M 'F m -3 m'
_symmetry_Int_Tables_number 225
_symmetry_space_group_name_Hall '-F 4 2 3'
loop_
_atom_site_label
_atom_site_fract_x
_atom_site_fract_y
_atom_site_fract_z
Ca1 0.2500 0.2500 0.2500
Mg1 0.0000 0.0000 0.0000
Cd1 0.0000 0.0000 0.5000
```

Top 10 peaks for 15° ≤ 2θ ≤ 90°, by angle:
| 2theta | I (rel.) |
| --- | --- |
| 19.71 | 35.5 |
| 22.79 | 7.0 |
| 32.46 | 100.0 |
| 38.26 | 19.8 |
| 46.56 | 17.3 |
| 51.02 | 8.4 |
| 57.90 | 34.6 |
| 61.78 | 6.1 |
| 67.96 | 10.3 |
| 77.35 | 14.0 |

Record 6
Computed XRD peak list of Cu3Ni for Cu Kα, from a DFT-relaxed cell (PBE, the Materials Project).

Atomic structure:
```
data_Cu3Ni
_cell_length_a 2.8154
_cell_length_b 4.0367
_cell_length_c 8.0945
_cell_angle_alpha 90.00
_cell_angle_beta 90.00
_cell_angle_gamma 90.00
_symmetry_space_group_name_H-M 'C m m m'
_symmetry_Int_Tables_number 65
_symmetry_space_group_name_Hall '-C 2 2'
loop_
_atom_site_label
_atom_site_fract_x
_atom_site_fract_y
_atom_site_fract_z
Cu1 0.0000 0.0000 0.0000
Cu2 0.0000 0.5000 0.2551
Ni1 0.0000 0.0000 0.5000
```

Top 9 peaks for 15° ≤ 2θ ≤ 90°, by angle:
| 2theta | I (rel.) |
| --- | --- |
| 44.79 | 25.6 |
| 44.91 | 25.6 |
| 45.21 | 100.0 |
| 65.29 | 15.1 |
| 66.41 | 7.2 |
| 82.88 | 14.5 |
| 83.05 | 14.7 |
| 83.69 | 7.2 |
| 83.78 | 7.2 |

Record 7
Computed XRD peak list of CeSe2 for Cu Kα, from a DFT-relaxed cell (PBE, the Materials Project).

Atomic structure:
```
data_CeSe2
_cell_length_a 12.1301
_cell_length_b 7.1344
_cell_length_c 14.4780
_cell_angle_alpha 90.00
_cell_angle_beta 90.00
_cell_angle_gamma 90.00
_symmetry_space_group_name_H-M 'P c c a'
_symmetry_Int_Tables_number 54
loop_
_symmetry_equiv_pos_as_xyz
'x,y,z'
'-x,-y,-z'
'-x+1/2,-y,z'
'x+1/2,y,-z'
'x+1/2,-y,-z+1/2'
'-x+1/2,y,z+1/2'
'-x,y,-z+1/2'
'x,-y,z+1/2'
loop_
_atom_site_label
_atom_site_fract_x
_atom_site_fract_y
_atom_site_fract_z
Ce1 0.1176 0.2354 0.1115
Se1 0.0000 0.0000 0.0000
Se2 0.0000 0.3987 0.2500
Se3 0.2500 0.0000 0.2077
Se4 0.2500 0.5000 0.0322
```

Top 10 peaks for 15° ≤ 2θ ≤ 90°, by angle:
| 2theta | I (rel.) |
| --- | --- |
| 15.66 | 93.7 |
| 20.17 | 71.8 |
| 22.83 | 100.0 |
| 31.47 | 19.9 |
| 35.33 | 40.2 |
| 35.79 | 30.9 |
| 36.62 | 23.5 |
| 38.74 | 39.3 |
| 38.98 | 41.7 |
| 43.66 | 26.5 |

Record 8
Computed XRD peak list of Na3TaInSi2PO12 for Cu Kα, from a DFT-relaxed cell (PBE, the Materials Project).

Atomic structure:
```
data_Na3TaInSi2PO12
_cell_length_a 15.7883
_cell_length_b 9.1356
_cell_length_c 9.1920
_cell_angle_alpha 90.00
_cell_angle_beta 125.47
_cell_angle_gamma 90.00
_symmetry_space_group_name_H-M 'C 1 c 1'
_symmetry_Int_Tables_number 9
loop_
_symmetry_equiv_pos_as_xyz
'x,y,z'
'x,-y,z+1/2'
'x+1/2,y+1/2,z'
'x+1/2,-y+1/2,z+1/2'
loop_
_atom_site_label
_atom_site_fract_x
_atom_site_fract_y
_atom_site_fract_z
Na1 0.0000 0.0508 0.0000
Na2 0.0683 0.2422 0.7402
Na3 0.1431 0.4146 0.5097
Ta1 0.2206 0.2461 0.1982
In1 0.4208 0.2497 0.8097
Si1 0.1760 0.0996 0.5049
Si2 0.3238 0.4529 0.0137
P1 0.4745 0.1075 0.5161
O1 0.0613 0.3037 0.0191
O2 0.0776 0.1703 0.4927
O3 0.1751 0.0814 0.0252
O4 0.1767 0.1363 0.3264
O5 0.2363 0.3638 0.0282
O6 0.2522 0.4281 0.3400
O7 0.2731 0.1781 0.6756
O8 0.3685 0.1775 0.3558
O9 0.4000 0.3484 0.9983
O10 0.4014 0.4543 0.6930
O11 0.4864 0.1284 0.6912
O12 0.4879 0.0535 0.9902
```

Top 10 peaks for 15° ≤ 2θ ≤ 90°, by angle:
| 2theta | I (rel.) |
| --- | --- |
| 19.31 | 25.8 |
| 19.45 | 100.0 |
| 27.53 | 18.9 |
| 30.78 | 19.5 |
| 30.89 | 22.6 |
| 31.04 | 22.0 |
| 34.03 | 42.1 |
| 44.26 | 11.8 |
| 46.44 | 12.7 |
| 53.14 | 11.5 |

Record 9
Computed XRD peak list of BaO10 for Cu Kα, from a DFT-relaxed cell (PBE, the Materials Project).

Atomic structure:
```
data_BaO10
_cell_length_a 6.0479
_cell_length_b 6.0479
_cell_length_c 10.9006
_cell_angle_alpha 90.00
_cell_angle_beta 90.00
_cell_angle_gamma 90.00
_symmetry_space_group_name_H-M 'P 4/m c c'
_symmetry_Int_Tables_number 124
_symmetry_space_group_name_Hall '-P 4 2c'
loop_
_atom_site_label
_atom_site_fract_x
_atom_site_fract_y
_atom_site_fract_z
Ba1 0.0000 0.0000 0.0000
O1 0.0677 0.4189 0.0971
O2 0.5000 0.5000 0.0566
```

Top 10 peaks for 15° ≤ 2θ ≤ 90°, by angle:
| 2theta | I (rel.) |
| --- | --- |
| 16.26 | 100.0 |
| 21.95 | 48.8 |
| 26.49 | 40.2 |
| 29.54 | 65.8 |
| 33.90 | 50.1 |
| 36.15 | 19.2 |
| 37.11 | 25.0 |
| 39.20 | 45.4 |
| 47.35 | 19.6 |
| 50.58 | 20.4 |